# Ta2Cr3B4
Computed powder diffraction line list, Cu Kα (λ = 1.5418 Å). Input: a structure optimized by DFT (GGA-PBE).
Intensities are scaled so that the largest is 100.

Main lines, by intensity (10° ≤ 2θ ≤ 80°):
| 2theta | I (rel.) | hkl |
| --- | --- | --- |
| 44.70 | 100 | 2 2 -1 |
| 22.25 | 85 | 1 1 0 |
| 42.04 | 45 | 2 1 -2 |
| 41.10 | 44 | 1 2 1 |
| 32.51 | 41 | 2 0 0 |
| 36.88 | 39 | 0 1 2 |

a = 5.7926 Å, b = 5.8034 Å, c = 5.6485 Å
α = 90.00°, β = 108.02°, γ = 90.00°
Fractional positions:
Ta 0.1951 0.1712 0.0762
Ta 0.1951 0.3288 0.5762
Ta 0.8049 0.6712 0.4238
Ta 0.8049 0.8288 0.9238
Cr 0.2499 0.6798 0.2489
Cr 0.2499 0.8202 0.7489
Cr 0.5000 0.0000 0.5000
Cr 0.5000 0.5000 0.0000
Cr 0.7501 0.1798 0.2511
Cr 0.7501 0.3202 0.7511
B 0.0745 0.5345 0.8781
B 0.0745 0.9655 0.3781
B 0.4989 0.1144 0.8833
B 0.4989 0.3856 0.3833
B 0.5011 0.6144 0.6167
B 0.5011 0.8856 0.1167
B 0.9255 0.0345 0.6219
B 0.9255 0.4655 0.1219